For KPuIBr2, a PBE-relaxed structure gives the simulated XRD peak list in this record (Cu Kα, 1.54184 Å).

Main lines, low angle first (2θ from 10° to 90°):
2θ 13.80, rel. 40; 2θ 15.13, rel. 100; 2θ 21.47, rel. 25; 2θ 27.81, rel. 28; 2θ 30.54, rel. 61; 2θ 31.80, rel. 50; 2θ 33.65, rel. 19; 2θ 34.25, rel. 28; 2θ 41.77, rel. 38; 2θ 43.73, rel. 22; 2θ 44.67, rel. 39; 2θ 52.62, rel. 19

Atomic structure:
a = 5.8543 Å, b = 5.8543 Å, c = 6.4169 Å
α = 90.00°, β = 90.00°, γ = 90.00°
Fractional coordinates of all 5 atoms:
1 K 0.0000 0.0000 0.0000
2 Pu 0.5000 0.5000 0.3311
3 I 0.5000 0.5000 0.8226
4 Br 0.0000 0.5000 0.2865
5 Br 0.5000 0.0000 0.2865

For K2Hf2CrSe6, a PBE-relaxed structure gives the simulated XRD peak list in this record (Cu Kα, 1.54184 Å).

Main lines, low angle first (2θ from 10° to 90°):
2θ 11.21, rel. 100; 2θ 27.13, rel. 11; 2θ 30.89, rel. 96; 2θ 37.98, rel. 31; 2θ 40.81, rel. 20; 2θ 40.92, rel. 11; 2θ 47.45, rel. 32; 2θ 48.94, rel. 11; 2θ 50.49, rel. 12; 2θ 57.65, rel. 10; 2θ 64.36, rel. 8; 2θ 77.82, rel. 9

Atomic structure:
a = 6.6403 Å, b = 6.6403 Å, c = 8.2038 Å
α = 97.80°, β = 97.80°, γ = 120.09°
Fractional coordinates of all 11 atoms:
1 K 0.1666 0.8334 0.0000
2 K 0.8334 0.1666 0.0000
3 Hf 0.3307 0.6693 0.5000
4 Hf 0.6693 0.3307 0.5000
5 Cr 0.0000 0.0000 0.5000
6 Se 0.0698 0.3962 0.6935
7 Se 0.2631 0.2631 0.3119
8 Se 0.3962 0.0698 0.6935
9 Se 0.6038 0.9302 0.3065
10 Se 0.7369 0.7369 0.6881
11 Se 0.9302 0.6038 0.3065

For Cr7Cu, a PBE-relaxed structure gives the simulated XRD peak list in this record (Cu Kα, 1.54184 Å).

Main lines, low angle first (2θ from 10° to 90°):
2θ 21.32, rel. 1; 2θ 43.42, rel. 100; 2θ 50.57, rel. 46; 2θ 74.32, rel. 26

Atomic structure:
a = 5.1052 Å, b = 5.1052 Å, c = 5.1052 Å
α = 60.00°, β = 60.00°, γ = 60.00°
Fractional coordinates of all 8 atoms:
1 Cr 0.0000 0.0000 0.0000
2 Cr 0.0000 0.0000 0.5000
3 Cr 0.0000 0.5000 0.0000
4 Cr 0.0000 0.5000 0.5000
5 Cr 0.5000 0.0000 0.0000
6 Cr 0.5000 0.0000 0.5000
7 Cr 0.5000 0.5000 0.0000
8 Cu 0.5000 0.5000 0.5000

For PrSn2Sb2, a PBE-relaxed structure gives the simulated XRD peak list in this record (Cu Kα, 1.54184 Å).

Main lines, low angle first (2θ from 10° to 90°):
2θ 31.02, rel. 22; 2θ 32.20, rel. 100; 2θ 40.01, rel. 15; 2θ 40.37, rel. 15; 2θ 51.47, rel. 11; 2θ 51.77, rel. 11; 2θ 55.93, rel. 12; 2θ 58.15, rel. 11; 2θ 67.37, rel. 10; 2θ 67.79, rel. 12; 2θ 68.29, rel. 12; 2θ 84.72, rel. 4

Atomic structure:
a = 14.5875 Å, b = 14.5875 Å, c = 4.5066 Å
α = 90.00°, β = 90.00°, γ = 162.38°
Fractional coordinates of all 10 atoms:
1 Pr 0.1624 0.8376 0.7500
2 Pr 0.8376 0.1624 0.2500
3 Sn 0.0541 0.9459 0.2500
4 Sn 0.4556 0.5444 0.2500
5 Sn 0.5444 0.4556 0.7500
6 Sn 0.9459 0.0541 0.7500
7 Sb 0.2498 0.7502 0.2500
8 Sb 0.3632 0.6368 0.7500
9 Sb 0.6368 0.3632 0.2500
10 Sb 0.7502 0.2498 0.7500

For CsTl3As3, a PBE-relaxed structure gives the simulated XRD peak list in this record (Cu Kα, 1.54184 Å).

Main lines, low angle first (2θ from 10° to 90°):
2θ 14.55, rel. 18; 2θ 26.72, rel. 16; 2θ 29.16, rel. 100; 2θ 29.37, rel. 31; 2θ 30.38, rel. 38; 2θ 34.93, rel. 15; 2θ 35.94, rel. 19; 2θ 38.03, rel. 19; 2θ 45.41, rel. 29; 2θ 49.57, rel. 17; 2θ 50.90, rel. 22; 2θ 59.84, rel. 16

Atomic structure:
a = 8.1888 Å, b = 8.1888 Å, c = 8.1888 Å
α = 70.87°, β = 70.87°, γ = 70.87°
Fractional coordinates of all 14 atoms:
1 Cs 0.1289 0.1289 0.1289
2 Cs 0.8711 0.8711 0.8711
3 Tl 0.1509 0.2770 0.5589
4 Tl 0.2770 0.5589 0.1509
5 Tl 0.4411 0.8491 0.7230
6 Tl 0.5589 0.1509 0.2770
7 Tl 0.7230 0.4411 0.8491
8 Tl 0.8491 0.7230 0.4411
9 As 0.2366 0.4865 0.7427
10 As 0.2574 0.7634 0.5135
11 As 0.4865 0.7426 0.2366
12 As 0.5135 0.2573 0.7634
13 As 0.7426 0.2366 0.4865
14 As 0.7634 0.5135 0.2574

For Ho7Ir2Pd2, a PBE-relaxed structure gives the simulated XRD peak list in this record (Cu Kα, 1.54184 Å).

Main lines, low angle first (2θ from 10° to 90°):
2θ 21.35, rel. 17; 2θ 25.30, rel. 46; 2θ 27.69, rel. 23; 2θ 29.39, rel. 24; 2θ 33.98, rel. 23; 2θ 34.36, rel. 48; 2θ 38.24, rel. 100; 2θ 38.37, rel. 31; 2θ 43.15, rel. 19; 2θ 44.21, rel. 35; 2θ 53.15, rel. 17; 2θ 57.18, rel. 20

Atomic structure:
a = 6.6349 Å, b = 6.6349 Å, c = 6.8924 Å
α = 90.00°, β = 90.00°, γ = 103.77°
Fractional coordinates of all 11 atoms:
1 Ho 0.0000 0.0000 0.0000
2 Ho 0.0000 0.5000 0.2579
3 Ho 0.0000 0.5000 0.7421
4 Ho 0.5000 0.0000 0.2579
5 Ho 0.5000 0.0000 0.7421
6 Ho 0.5000 0.5000 0.2535
7 Ho 0.5000 0.5000 0.7465
8 Ir 0.2819 0.7181 0.0000
9 Ir 0.7181 0.2819 0.0000
10 Pd 0.2103 0.2103 0.5000
11 Pd 0.7897 0.7897 0.5000

For Nd3Ni9Ge2, a PBE-relaxed structure gives the simulated XRD peak list in this record (Cu Kα, 1.54184 Å).

Main lines, low angle first (2θ from 10° to 90°):
2θ 23.91, rel. 35; 2θ 31.47, rel. 46; 2θ 36.20, rel. 48; 2θ 36.41, rel. 81; 2θ 36.93, rel. 100; 2θ 38.22, rel. 55; 2θ 39.41, rel. 31; 2θ 43.61, rel. 55; 2θ 45.45, rel. 62; 2θ 47.89, rel. 38; 2θ 59.41, rel. 36; 2θ 68.25, rel. 31

Atomic structure:
a = 7.9418 Å, b = 7.9418 Å, c = 7.9418 Å
α = 150.90°, β = 107.26°, γ = 80.19°
Fractional coordinates of all 14 atoms:
1 Nd 0.0000 0.0000 0.0000
2 Nd 0.3073 0.3073 0.0000
3 Nd 0.6927 0.6927 0.0000
4 Ni 0.0044 0.6950 0.3095
5 Ni 0.1721 0.8930 0.2792
6 Ni 0.3862 0.1070 0.2792
7 Ni 0.3855 0.6950 0.6905
8 Ni 0.5000 0.0000 0.5000
9 Ni 0.6145 0.3050 0.3095
10 Ni 0.6138 0.8930 0.7208
11 Ni 0.8279 0.1070 0.7208
12 Ni 0.9956 0.3050 0.6905
13 Ge 0.2679 0.5000 0.7679
14 Ge 0.7321 0.5000 0.2321

For Ni7Pt3Rh2, a PBE-relaxed structure gives the simulated XRD peak list in this record (Cu Kα, 1.54184 Å).

Main lines, low angle first (2θ from 10° to 90°):
2θ 18.79, rel. 39; 2θ 24.25, rel. 25; 2θ 28.86, rel. 20; 2θ 40.42, rel. 25; 2θ 41.86, rel. 25; 2θ 42.29, rel. 100; 2θ 42.41, rel. 57; 2θ 42.98, rel. 21; 2θ 43.30, rel. 53; 2θ 44.24, rel. 23; 2θ 44.58, rel. 45; 2θ 47.45, rel. 19

Atomic structure:
a = 4.2106 Å, b = 2.6684 Å, c = 14.1757 Å
α = 90.00°, β = 91.82°, γ = 90.00°
Fractional coordinates of all 12 atoms:
1 Ni 0.0000 0.0000 0.0000
2 Ni 0.2071 0.5000 0.1730
3 Ni 0.2546 0.5000 0.5389
4 Ni 0.2944 0.0000 0.8569
5 Ni 0.7056 0.0000 0.1431
6 Ni 0.7454 0.5000 0.4611
7 Ni 0.7929 0.5000 0.8270
8 Pt 0.2352 0.0000 0.3737
9 Pt 0.5000 0.5000 0.0000
10 Pt 0.7648 0.0000 0.6263
11 Rh 0.2745 0.5000 0.7118
12 Rh 0.7255 0.5000 0.2882

For GaPHPtS, a PBE-relaxed structure gives the simulated XRD peak list in this record (Cu Kα, 1.54184 Å).

Main lines, low angle first (2θ from 10° to 90°):
2θ 11.25, rel. 100; 2θ 22.61, rel. 13; 2θ 28.17, rel. 9; 2θ 28.32, rel. 8; 2θ 28.58, rel. 34; 2θ 29.57, rel. 11; 2θ 30.83, rel. 12; 2θ 33.07, rel. 13; 2θ 33.29, rel. 13; 2θ 34.20, rel. 9; 2θ 35.15, rel. 12; 2θ 37.29, rel. 10

Atomic structure:
a = 3.6928 Å, b = 3.7011 Å, c = 8.0763 Å
α = 93.51°, β = 99.15°, γ = 119.83°
Fractional coordinates of all 5 atoms:
1 Ga 0.0000 0.0000 0.0000
2 P 0.6339 0.7176 0.3733
3 H 0.7044 0.8193 0.5539
4 Pt 0.9130 0.3317 0.2627
5 S 0.5774 0.2876 0.8576

For Nd2AlB2Rh5, a PBE-relaxed structure gives the simulated XRD peak list in this record (Cu Kα, 1.54184 Å).

Main lines, low angle first (2θ from 10° to 90°):
2θ 33.48, rel. 20; 2θ 34.77, rel. 100; 2θ 38.26, rel. 98; 2θ 38.41, rel. 30; 2θ 39.41, rel. 30; 2θ 40.69, rel. 77; 2θ 41.64, rel. 28; 2θ 43.91, rel. 35; 2θ 46.96, rel. 18; 2θ 57.41, rel. 21; 2θ 68.49, rel. 24; 2θ 71.11, rel. 31

Atomic structure:
a = 9.6995 Å, b = 9.6995 Å, c = 3.2100 Å
α = 90.00°, β = 90.00°, γ = 90.00°
Fractional coordinates of all 20 atoms:
1 Nd 0.1772 0.3228 0.0000
2 Nd 0.3228 0.8228 0.0000
3 Nd 0.6772 0.1772 0.0000
4 Nd 0.8228 0.6772 0.0000
5 Al 0.0000 0.0000 0.0000
6 Al 0.5000 0.5000 0.0000
7 B 0.1211 0.6211 0.0000
8 B 0.3789 0.1211 0.0000
9 B 0.6211 0.8789 0.0000
10 B 0.8789 0.3789 0.0000
11 Rh 0.0000 0.5000 0.5000
12 Rh 0.0686 0.7780 0.5000
13 Rh 0.2220 0.0686 0.5000
14 Rh 0.2780 0.5686 0.5000
15 Rh 0.4314 0.2780 0.5000
16 Rh 0.5000 0.0000 0.5000
17 Rh 0.5686 0.7220 0.5000
18 Rh 0.7220 0.4314 0.5000
19 Rh 0.7780 0.9314 0.5000
20 Rh 0.9314 0.2220 0.5000

For Ta4AlIr5, a PBE-relaxed structure gives the simulated XRD peak list in this record (Cu Kα, 1.54184 Å).

Main lines, low angle first (2θ from 10° to 90°):
2θ 39.10, rel. 100; 2θ 39.32, rel. 99; 2θ 44.37, rel. 70; 2θ 47.97, rel. 28; 2θ 64.23, rel. 12; 2θ 64.86, rel. 12; 2θ 67.39, rel. 41; 2θ 77.98, rel. 27; 2θ 78.41, rel. 27; 2θ 83.39, rel. 12; 2θ 83.53, rel. 12; 2θ 84.59, rel. 11

Atomic structure:
a = 2.8750 Å, b = 3.7930 Å, c = 14.5008 Å
α = 90.00°, β = 90.00°, γ = 90.00°
Fractional coordinates of all 10 atoms:
1 Ta 0.0000 0.0000 0.1002
2 Ta 0.0000 0.0000 0.3033
3 Ta 0.0000 0.0000 0.6967
4 Ta 0.0000 0.0000 0.8998
5 Al 0.0000 0.0000 0.5000
6 Ir 0.5000 0.5000 0.0000
7 Ir 0.5000 0.5000 0.2009
8 Ir 0.5000 0.5000 0.4046
9 Ir 0.5000 0.5000 0.5954
10 Ir 0.5000 0.5000 0.7991

For Tm2Sc5C4, a PBE-relaxed structure gives the simulated XRD peak list in this record (Cu Kα, 1.54184 Å).

Main lines, low angle first (2θ from 10° to 90°):
2θ 13.68, rel. 83; 2θ 19.66, rel. 67; 2θ 26.55, rel. 31; 2θ 27.04, rel. 29; 2θ 28.16, rel. 75; 2θ 29.71, rel. 55; 2θ 31.44, rel. 59; 2θ 34.47, rel. 100; 2θ 35.52, rel. 73; 2θ 35.75, rel. 39; 2θ 42.61, rel. 58; 2θ 47.68, rel. 26

Atomic structure:
a = 3.2678 Å, b = 6.8488 Å, c = 9.2801 Å
α = 77.05°, β = 89.96°, γ = 76.22°
Fractional coordinates of all 11 atoms:
1 Tm 0.0495 0.3998 0.2165
2 Tm 0.9505 0.6002 0.7835
3 Sc 0.0000 0.5000 0.5000
4 Sc 0.2027 0.0959 0.7080
5 Sc 0.3496 0.8005 0.0284
6 Sc 0.6504 0.1995 0.9716
7 Sc 0.7973 0.9041 0.2920
8 C 0.2106 0.0783 0.1381
9 C 0.4407 0.6179 0.3014
10 C 0.5593 0.3821 0.6986
11 C 0.7894 0.9217 0.8619